For Ba2CaOsO6, the GGA-PBE geometry in the Materials Project gives the calculated powder diffraction line list in this record (a wavelength of 1.5418 Å).
No peak broadening, texture or thermal motion is included.

Atomic structure:
Lattice parameters (Å, degrees): 5.9757 5.9757 5.9757 60.00 60.00 60.00
Sites, in units of the cell vectors:
Ba 0.2500 0.2500 0.2500
Ba 0.7500 0.7500 0.7500
Ca 0.0000 0.0000 0.0000
Os 0.5000 0.5000 0.5000
O 0.2703 0.2703 0.7297
O 0.2703 0.7297 0.2703
O 0.2703 0.7297 0.7297
O 0.7297 0.2703 0.2703
O 0.7297 0.2703 0.7297
O 0.7297 0.7297 0.2703

Peak list (10 most intense, 2θ = 5–70°, in order of rising 2θ)
2θ (°)  intensity
18.18  25
29.90  100
35.22  12
36.84  3
42.80  30
46.86  5
53.09  40
56.59  5
62.13  19
65.32  5

---

For Ca2O3, the GGA-PBE geometry in the Materials Project gives the calculated powder diffraction line list in this record (a wavelength of 1.5418 Å).
No peak broadening, texture or thermal motion is included.

Atomic structure:
Lattice parameters (Å, degrees): 9.4741 9.4859 9.4878 101.57 113.55 113.42
Sites, in units of the cell vectors:
Ca 0.0000 0.0000 0.0000
Ca 0.0013 0.4982 0.4951
Ca 0.0306 0.2934 0.7637
Ca 0.2234 0.0192 0.7395
Ca 0.2532 0.2693 0.5171
Ca 0.2560 0.7708 0.0180
Ca 0.2745 0.5151 0.2867
Ca 0.4688 0.2360 0.2679
Ca 0.4969 0.5347 0.0346
Ca 0.4977 0.0361 0.5343
Ca 0.5304 0.7991 0.7621
Ca 0.7257 0.0186 0.2438
Ca 0.7452 0.2653 0.0135
Ca 0.7449 0.7609 0.5106
Ca 0.7765 0.5177 0.7947
Ca 0.9658 0.7337 0.2605
O 0.0098 0.5070 0.2497
O 0.0108 0.5311 0.7581
O 0.0120 0.7720 0.0423
O 0.2160 0.9892 0.4854
O 0.2201 0.2462 0.2538
O 0.2332 0.5224 0.0274
O 0.2508 0.0086 0.9930
O 0.2778 0.5394 0.5430
O 0.2790 0.2887 0.7776
O 0.4833 0.0229 0.7764
O 0.4914 0.9997 0.2789
O 0.5009 0.7711 0.9877
O 0.5070 0.7866 0.5040
O 0.5101 0.4940 0.2727
O 0.5196 0.2968 0.5408
O 0.7199 0.4987 0.0077
O 0.7245 0.2708 0.2599
O 0.7484 0.7428 0.7539
O 0.7543 0.7921 0.2765
O 0.7743 0.0305 0.0239
O 0.7789 0.2673 0.7699
O 0.9855 0.0306 0.7588
O 0.9881 0.2433 0.4947
O 0.9950 0.7496 0.5211

Peak list (12 most intense, 2θ = 5–70°, in order of rising 2θ)
2θ (°)  intensity
19.10  4
20.48  12
28.48  100
34.50  4
46.14  13
46.21  26
46.30  13
49.58  10
49.61  10
52.10  10
58.15  11
58.24  7

---

For BaS2N2O6, the GGA-PBE geometry in the Materials Project gives the calculated powder diffraction line list in this record (a wavelength of 1.5418 Å).
No peak broadening, texture or thermal motion is included.

Atomic structure:
Lattice parameters (Å, degrees): 10.9640 13.7178 4.9353 90.00 90.00 90.00
Sites, in units of the cell vectors:
Ba 0.1751 0.1885 0.0000
Ba 0.3249 0.6885 0.5000
Ba 0.6751 0.3115 0.0000
Ba 0.8249 0.8115 0.5000
S 0.0557 0.6858 0.9373
S 0.1625 0.9453 0.5504
S 0.3375 0.4453 0.0504
S 0.4443 0.1858 0.4373
S 0.5557 0.8142 0.9373
S 0.6625 0.5547 0.5504
S 0.8375 0.0547 0.0504
S 0.9443 0.3142 0.4373
N 0.0370 0.5780 0.0811
N 0.1616 0.9651 0.8781
N 0.3384 0.4651 0.3781
N 0.4630 0.0780 0.5811
N 0.5370 0.9220 0.0811
N 0.6616 0.5349 0.8781
N 0.8384 0.0349 0.3781
N 0.9630 0.4220 0.5811
O 0.0471 0.8977 0.4814
O 0.0554 0.2584 0.5035
O 0.0687 0.6699 0.6438
O 0.1681 0.7262 0.0563
O 0.1731 0.0462 0.4486
O 0.2304 0.3845 0.9984
O 0.2696 0.8845 0.4984
O 0.3269 0.5462 0.9486
O 0.3319 0.2262 0.5563
O 0.4313 0.1699 0.1438
O 0.4446 0.7584 0.0035
O 0.4529 0.3977 0.9814
O 0.5471 0.6023 0.4814
O 0.5554 0.2416 0.5035
O 0.5687 0.8301 0.6438
O 0.6681 0.7738 0.0563
O 0.6731 0.4538 0.4486
O 0.7304 0.1155 0.9984
O 0.7696 0.6155 0.4984
O 0.8269 0.9538 0.9486
O 0.8319 0.2738 0.5563
O 0.9313 0.3301 0.1438
O 0.9446 0.7416 0.0035
O 0.9529 0.1023 0.9814

Peak list (12 most intense, 2θ = 5–70°, in order of rising 2θ)
2θ (°)  intensity
12.91  56
15.24  39
19.11  44
23.65  53
25.17  100
27.25  68
27.58  59
27.81  47
33.33  28
36.41  40
38.43  28
39.85  29

---

For Ba3TbRu2O9, the GGA-PBE geometry in the Materials Project gives the calculated powder diffraction line list in this record (a wavelength of 1.5418 Å).
No peak broadening, texture or thermal motion is included.

Atomic structure:
Lattice parameters (Å, degrees): 5.9667 5.9667 14.6400 90.00 90.00 120.00
Sites, in units of the cell vectors:
Ba 0.0000 0.0000 0.2500
Ba 0.0000 0.0000 0.7500
Ba 0.3333 0.6667 0.0954
Ba 0.3333 0.6667 0.4046
Ba 0.6667 0.3333 0.5954
Ba 0.6667 0.3333 0.9046
Tb 0.0000 0.0000 0.0000
Tb 0.0000 0.0000 0.5000
Ru 0.3333 0.6667 0.6646
Ru 0.3333 0.6667 0.8354
Ru 0.6667 0.3333 0.1646
Ru 0.6667 0.3333 0.3354
O 0.0195 0.5098 0.7500
O 0.1764 0.3529 0.5887
O 0.1764 0.3529 0.9113
O 0.1764 0.8236 0.5887
O 0.1764 0.8236 0.9113
O 0.3529 0.1764 0.0887
O 0.3529 0.1764 0.4113
O 0.4902 0.5098 0.7500
O 0.4902 0.9805 0.7500
O 0.5098 0.0195 0.2500
O 0.5098 0.4902 0.2500
O 0.6471 0.8236 0.5887
O 0.6471 0.8236 0.9113
O 0.8236 0.1764 0.0887
O 0.8236 0.1764 0.4113
O 0.8236 0.6471 0.0887
O 0.8236 0.6471 0.4113
O 0.9805 0.4902 0.2500

Peak list (12 most intense, 2θ = 5–70°, in order of rising 2θ)
2θ (°)  intensity
25.10  12
29.94  100
35.23  5
39.46  10
42.84  23
46.88  10
50.32  4
53.15  32
56.63  9
62.22  15
65.38  6
68.16  3